# 1
Diffraction record for TbGe3Os3. The XRD peak list is theoretical, not measured: it uses a DFT-relaxed cell (PBE, Alexandria) and a wavelength of 1.5418 Å.
Intensities are scaled so that the largest is 100.

The 12 most intense peaks (2θ from 10° to 90°), by angle:
index, d (Å), 2θ/deg, Rel. int.
1 1 0, 4.756, 18.7, 12
2 0 0, 3.363, 26.5, 43
2 1 0, 3.008, 29.7, 35
2 1 1, 2.746, 32.6, 100
2 2 2, 1.942, 46.8, 28
3 2 1, 1.798, 50.8, 58
4 0 0, 1.681, 54.6, 30
4 2 0, 1.504, 61.7, 16
3 3 2, 1.434, 65.0, 14
5 2 1, 1.228, 77.8, 17
4 4 0, 1.189, 80.8, 19
6 1 1, 1.091, 89.9, 18

Crystal structure
a b c (Å): 6.7260 6.7260 6.7260
angles (deg): 90.00 90.00 90.00
Space group Pm-3n (No. 223)
Inequivalent atoms, fractional coordinates:
Tb 0.0000 0.0000 0.0000 [2 per cell]
Ge 0.0000 0.2500 0.5000 [6 per cell]
Os 0.0000 0.5000 0.2500 [6 per cell]

***

# 2
Diffraction record for K2BaTl2Sb2. The XRD peak list is theoretical, not measured: it uses a DFT-relaxed cell (PBE, Alexandria) and a wavelength of 1.5418 Å.
Intensities are scaled so that the largest is 100.

The 12 most intense peaks (2θ from 10° to 90°), by angle:
index, d (Å), 2θ/deg, Rel. int.
0 0 6, 5.160, 17.2, 22
1 0 1, 4.602, 19.3, 16
1 0 4, 3.988, 22.3, 14
1 0 7, 3.206, 27.8, 100
1 1 0, 2.687, 33.3, 76
1 1 6, 2.383, 37.7, 19
1 0 13, 2.119, 42.7, 14
0 2 7, 2.059, 44.0, 29
0 1 14, 1.997, 45.4, 14
2 1 7, 1.635, 56.3, 28
3 0 0, 1.551, 59.6, 14
1 3 7, 1.239, 76.9, 11

Crystal structure
a b c (Å): 5.3740 5.3740 30.9588
angles (deg): 90.00 90.00 120.00
Space group R-3m (No. 166, hexagonal axes)
Inequivalent atoms, fractional coordinates:
K 0.0000 0.0000 0.1382 [6 per cell]
Ba 0.0000 0.0000 0.0000 [3 per cell]
Tl 0.0000 0.0000 0.4321 [6 per cell]
Sb 0.0000 0.0000 0.2671 [6 per cell]

***

# 3
Diffraction record for LaPrRuBr. The XRD peak list is theoretical, not measured: it uses a DFT-relaxed cell (PBE, Alexandria) and a wavelength of 1.5418 Å.
Intensities are scaled so that the largest is 100.

The 12 most intense peaks (2θ from 10° to 90°), by angle:
index, d (Å), 2θ/deg, Rel. int.
0 0 3, 8.024, 11.0, 27
1 0 1, 3.527, 25.3, 10
0 1 2, 3.418, 26.1, 22
1 0 4, 3.067, 29.1, 20
0 1 5, 2.865, 31.2, 100
1 0 7, 2.475, 36.3, 17
1 1 0, 2.058, 44.0, 44
1 0 10, 1.995, 45.5, 29
2 0 5, 1.672, 54.9, 20
1 1 9, 1.631, 56.4, 9
1 2 5, 1.298, 72.9, 17
2 1 10, 1.176, 81.9, 9

Crystal structure
a b c (Å): 4.1165 4.1165 24.0733
angles (deg): 90.00 90.00 120.00
Space group R3m (No. 160, hexagonal axes)
Inequivalent atoms, fractional coordinates:
La 0.0000 0.0000 0.0000 [3 per cell]
Pr 0.0000 0.0000 0.2035 [3 per cell]
Ru 0.0000 0.0000 0.6048 [3 per cell]
Br 0.0000 0.0000 0.7723 [3 per cell]

***

# 4
Diffraction record for Rb3Li2CaF6. The XRD peak list is theoretical, not measured: it uses a DFT-relaxed cell (PBE, Alexandria) and a wavelength of 1.5418 Å.
Intensities are scaled so that the largest is 100.

The 12 most intense peaks (2θ from 10° to 90°), by angle:
index, d (Å), 2θ/deg, Rel. int.
0 0 1, 7.774, 11.4, 43
1 0 1, 4.407, 20.1, 84
0 1 2, 3.145, 28.4, 100
1 1 0, 3.088, 28.9, 94
0 0 3, 2.591, 34.6, 29
0 2 1, 2.529, 35.5, 84
2 0 2, 2.203, 41.0, 86
1 1 3, 1.985, 45.7, 23
2 1 1, 1.957, 46.4, 20
1 2 2, 1.794, 50.9, 38
0 2 4, 1.572, 58.7, 25
2 2 0, 1.544, 59.9, 26

Crystal structure
a b c (Å): 6.1768 6.1768 7.7745
angles (deg): 90.00 90.00 120.00
Space group P-3m1 (No. 164)
Inequivalent atoms, fractional coordinates:
Rb 0.0000 0.0000 0.0000 [1 per cell]
Rb 0.3333 0.6667 0.6632 [2 per cell]
Li 0.3333 0.6667 0.2524 [2 per cell]
Ca 0.0000 0.0000 0.5000 [1 per cell]
F 0.1698 0.3396 0.3257 [6 per cell]

***

# 5
Diffraction record for Sr3Ta6Si4O26. The XRD peak list is theoretical, not measured: it uses a DFT-relaxed cell (PBE, Alexandria) and a wavelength of 1.5418 Å.
Intensities are scaled so that the largest is 100.

The 12 most intense peaks (2θ from 10° to 90°), by angle:
index, d (Å), 2θ/deg, Rel. int.
1 0 0, 7.824, 11.3, 47
1 1 0, 4.517, 19.7, 59
2 0 0, 3.907, 22.8, 26
0 0 2, 3.871, 23.0, 40
1 0 2, 3.469, 25.7, 26
2 1 0, 2.957, 30.2, 100
1 1 2, 2.939, 30.4, 66
2 0 2, 2.751, 32.5, 25
2 1 2, 2.350, 38.3, 42
4 0 2, 1.746, 52.4, 27
3 2 2, 1.628, 56.5, 23
2 1 4, 1.619, 56.9, 35

Crystal structure
a b c (Å): 9.0341 9.0341 7.7415
angles (deg): 90.00 90.00 120.00
Space group P-62m (No. 189)
Inequivalent atoms, fractional coordinates:
Sr 0.0000 0.5970 0.0000 [3 per cell]
Ta 0.0000 0.2385 0.2540 [6 per cell]
Si 0.3333 0.6667 0.2907 [4 per cell]
O 0.0000 0.2214 0.0000 [3 per cell]
O 0.0000 0.2793 0.5000 [3 per cell]
O 0.0000 0.8146 0.2654 [6 per cell]
O 0.1770 0.4911 0.2088 [12 per cell]
O 0.3333 0.6667 0.5000 [2 per cell]

***

# 6
Diffraction record for TbDy2Tl2Ag2. The XRD peak list is theoretical, not measured: it uses a DFT-relaxed cell (PBE, Alexandria) and a wavelength of 1.5418 Å.
Intensities are scaled so that the largest is 100.

The 12 most intense peaks (2θ from 10° to 90°), by angle:
index, d (Å), 2θ/deg, Rel. int.
0 0 6, 4.294, 20.7, 9
1 0 7, 2.783, 32.2, 98
0 1 8, 2.567, 35.0, 25
1 1 0, 2.455, 36.6, 100
0 2 7, 1.841, 49.5, 29
2 0 8, 1.774, 51.5, 9
2 1 7, 1.473, 63.1, 28
1 2 8, 1.438, 64.8, 9
3 0 0, 1.417, 65.9, 18
1 1 15, 1.407, 66.4, 13
2 2 0, 1.227, 77.8, 11
1 3 7, 1.123, 86.7, 12

Crystal structure
a b c (Å): 4.9096 4.9096 25.7638
angles (deg): 90.00 90.00 120.00
Space group R-3m (No. 166, hexagonal axes)
Inequivalent atoms, fractional coordinates:
Tb 0.0000 0.0000 0.0000 [3 per cell]
Dy 0.0000 0.0000 0.1324 [6 per cell]
Tl 0.0000 0.0000 0.2655 [6 per cell]
Ag 0.0000 0.0000 0.4327 [6 per cell]